This entry pairs a crystal structure of Ce3Y5Bi8 with its calculated X-ray powder pattern. Radiation: copper Kα. Structure: a cell relaxed with PBE.
No peak broadening, texture or thermal motion is included.

Top 10 peaks for 2θ from 10° to 90°, by angle:
d [Å], I (rel.)
3.698, 17
3.203, 100
2.265, 78
1.931, 10
1.849, 28
1.601, 13
1.432, 37
1.308, 21
1.306, 7
1.133, 5

Atomic structure:
```
Ce3Y5Bi8
1.0
4.532 2.617 7.386
-4.532 2.617 7.386
0.000 -5.233 7.386
Ce Y Bi
3 5 8
direct
0.000 0.500 0.500
0.500 0.000 0.500
0.500 0.500 0.000
0.000 0.000 0.000
0.000 0.000 0.500
0.000 0.500 0.000
0.500 0.000 0.000
0.500 0.500 0.500
0.246 0.750 0.750
0.248 0.248 0.248
0.250 0.250 0.754
0.250 0.754 0.250
0.750 0.246 0.750
0.750 0.750 0.246
0.752 0.752 0.752
0.754 0.250 0.250
```

This entry pairs a crystal structure of Li2AcAlF8 with its calculated X-ray powder pattern. Radiation: copper Kα. Structure: a cell relaxed with PBE.
No peak broadening, texture or thermal motion is included.

Top 10 peaks for 2θ from 10° to 90°, by angle:
d [Å], I (rel.)
7.155, 80
4.846, 100
4.388, 61
4.302, 44
3.577, 46
3.293, 51
3.214, 37
3.093, 34
3.072, 29
2.266, 45

Atomic structure:
```
Li2AcAlF8
1.0
4.391 0.000 0.000
-0.099 4.895 0.000
-0.200 -1.013 7.155
Li Ac Al F
2 1 1 8
direct
0.030 0.470 0.322
0.970 0.530 0.678
0.500 0.000 0.000
0.500 0.000 0.500
0.056 0.269 0.071
0.200 0.252 0.513
0.323 0.782 0.288
0.330 0.806 0.672
0.670 0.194 0.328
0.677 0.218 0.712
0.800 0.748 0.487
0.944 0.731 0.929
```

This entry pairs a crystal structure of Ac2Ga3Ir4 with its calculated X-ray powder pattern. Radiation: copper Kα. Structure: a cell relaxed with PBE.
No peak broadening, texture or thermal motion is included.

Top 10 peaks for 2θ from 10° to 90°, by angle:
d [Å], I (rel.)
2.713, 28
2.633, 100
2.577, 59
2.518, 18
2.378, 50
2.301, 83
2.175, 26
1.625, 24
1.546, 16
1.356, 22

Atomic structure:
```
Ac2Ga3Ir4
1.0
2.922 -8.024 0.000
2.922 8.024 0.000
0.000 0.000 7.470
Ac Ga Ir
4 6 8
direct
0.107 0.893 0.911
0.393 0.607 0.411
0.607 0.393 0.589
0.893 0.107 0.089
0.000 0.000 0.500
0.021 0.479 0.750
0.479 0.021 0.250
0.500 0.500 0.000
0.521 0.979 0.750
0.979 0.521 0.250
0.180 0.820 0.519
0.181 0.319 0.750
0.319 0.181 0.250
0.320 0.680 0.019
0.680 0.320 0.981
0.681 0.819 0.750
0.819 0.681 0.250
0.820 0.180 0.481
```

This entry pairs a crystal structure of Ce8PuTc2 with its calculated X-ray powder pattern. Radiation: copper Kα. Structure: a cell relaxed with PBE.
No peak broadening, texture or thermal motion is included.

Top 10 peaks for 2θ from 10° to 90°, by angle:
d [Å], I (rel.)
6.349, 33
2.861, 100
2.815, 35
2.743, 77
2.633, 51
2.565, 81
2.400, 49
2.299, 84
1.621, 43
1.542, 41

Atomic structure:
```
Ce8PuTc2
1.0
3.944 -6.341 0.000
3.944 6.341 0.000
-2.151 0.000 5.466
Ce Pu Tc
8 1 2
direct
0.000 0.000 0.000
0.015 0.253 0.580
0.151 0.551 0.173
0.253 0.015 0.580
0.448 0.685 0.765
0.551 0.151 0.173
0.685 0.448 0.765
0.699 0.699 0.340
0.349 0.349 0.163
0.038 0.645 0.667
0.645 0.038 0.667
```

This entry pairs a crystal structure of Na2B3C with its calculated X-ray powder pattern. Radiation: copper Kα. Structure: a cell relaxed with PBE.
No peak broadening, texture or thermal motion is included.

Top 10 peaks for 2θ from 10° to 90°, by angle:
d [Å], I (rel.)
2.530, 20
2.508, 9
2.181, 100
2.167, 50
2.149, 37
1.639, 8
1.465, 9
1.452, 17
1.214, 11
1.204, 18

Atomic structure:
```
Na2B3C
1.0
5.017 0.000 0.000
2.508 7.326 0.000
2.503 1.479 8.598
Na B C
10 15 5
direct
0.000 0.000 0.000
0.003 0.498 0.507
0.202 0.101 0.505
0.206 0.601 0.997
0.397 0.700 0.507
0.405 0.202 0.997
0.599 0.801 0.000
0.602 0.298 0.508
0.799 0.898 0.504
0.808 0.401 0.997
0.037 0.850 0.752
0.162 0.740 0.252
0.219 0.450 0.752
0.219 0.945 0.252
0.372 0.350 0.252
0.437 0.050 0.752
0.442 0.555 0.253
0.553 0.959 0.252
0.570 0.450 0.752
0.633 0.662 0.752
0.647 0.145 0.252
0.796 0.531 0.252
0.813 0.755 0.252
0.846 0.238 0.752
0.977 0.169 0.252
0.051 0.350 0.252
0.171 0.247 0.752
0.372 0.856 0.752
0.778 0.044 0.751
0.967 0.653 0.753
```

This entry pairs a crystal structure of LaSm2Sc3 with its calculated X-ray powder pattern. Radiation: copper Kα. Structure: a cell relaxed with PBE.
No peak broadening, texture or thermal motion is included.

Top 10 peaks for 2θ from 10° to 90°, by angle:
d [Å], I (rel.)
4.645, 11
3.389, 67
2.798, 23
2.738, 100
2.159, 12
1.957, 14
1.803, 35
1.694, 17
1.604, 10
1.235, 17

Atomic structure:
```
LaSm2Sc3
1.0
6.778 0.000 0.000
-3.389 5.870 0.000
0.000 0.000 9.290
La Sm Sc
2 4 6
direct
0.333 0.667 0.454
0.667 0.333 0.546
0.000 0.000 0.000
0.000 0.000 0.500
0.333 0.667 0.091
0.667 0.333 0.909
0.186 0.372 0.771
0.186 0.814 0.771
0.372 0.186 0.229
0.628 0.814 0.771
0.814 0.186 0.229
0.814 0.628 0.229
```